[1]
This entry pairs a crystal structure of Li2VFeP4O14 with its simulated powder XRD pattern. Radiation: Cu Kα. Structure: the GGA+U geometry in the Materials Project.
Kinematic intensities with the Lorentz-polarization factor, no thermal factor.

Structure:
```
Li2VFeP4O14
1.0
7.0394 0.0000 0.0000
0.0000 8.2428 0.0000
-3.1601 0.0000 9.2336
Li V Fe P O
4 2 2 8 28
Direct
0.1768 0.0000 0.3380
0.1768 0.0006 0.8377
0.8232 0.5000 0.6620
0.8232 0.5006 0.1623
0.2285 0.6363 0.8582
0.7715 0.1363 0.1418
0.2318 0.6360 0.3582
0.7682 0.1360 0.6418
0.0214 0.3180 0.4502
0.0218 0.3165 0.9498
0.4143 0.4210 0.1445
0.4149 0.4205 0.6441
0.5851 0.9205 0.3559
0.5857 0.9210 0.8555
0.9782 0.8165 0.0502
0.9786 0.8180 0.5498
0.0055 0.4810 0.8735
0.0072 0.4824 0.3732
0.0174 0.6738 0.1559
0.0177 0.6749 0.6566
0.1056 0.8152 0.9484
0.1055 0.8160 0.4488
0.2536 0.2898 0.0476
0.2538 0.2898 0.5474
0.3523 0.4600 0.7757
0.3528 0.4614 0.2760
0.3835 0.8311 0.3149
0.3845 0.8327 0.8151
0.4176 0.5704 0.5515
0.4176 0.5711 0.0515
0.5824 0.0704 0.4485
0.5824 0.0711 0.9485
0.6155 0.3327 0.1849
0.6165 0.3311 0.6851
0.6472 0.9614 0.7240
0.6477 0.9600 0.2243
0.7462 0.7898 0.4526
0.7464 0.7898 0.9524
0.8944 0.3152 0.0516
0.8945 0.3160 0.5512
0.9823 0.1749 0.3434
0.9826 0.1738 0.8441
0.9928 0.9824 0.6268
0.9945 0.9810 0.1265
```

Largest 8 diffraction maxima, most intense first, 2θ = 10–90°:
17.12 deg, I 100, hkl 1 1 0
29.25 deg, I 58, hkl 1 2 -2
22.34 deg, I 45, hkl 1 1 -2
28.95 deg, I 29, hkl 1 1 2
29.59 deg, I 28, hkl 2 1 -2
26.82 deg, I 24, hkl 1 0 2
22.07 deg, I 22, hkl 0 1 2
25.41 deg, I 17, hkl 1 2 0

***

[2]
This entry pairs a crystal structure of Li2VFeP2O8 with its simulated powder XRD pattern. Radiation: Cu Kα. Structure: the GGA+U geometry in the Materials Project.
Kinematic intensities with the Lorentz-polarization factor, no thermal factor.

Structure:
```
Li2VFeP2O8
1.0
4.7632 0.0000 0.0000
0.0000 6.0903 0.0000
-0.0296 0.0000 10.4815
Li V Fe P O
4 2 2 4 16
Direct
0.0000 0.0000 0.0000
0.0000 0.5000 0.0000
0.5000 0.0000 0.5000
0.5000 0.5000 0.5000
0.0155 0.2500 0.7236
0.9845 0.7500 0.2764
0.4741 0.2500 0.2215
0.5259 0.7500 0.7785
0.0895 0.7500 0.5927
0.4191 0.7500 0.0923
0.5809 0.2500 0.9077
0.9105 0.2500 0.4073
0.2095 0.7500 0.4549
0.2257 0.5471 0.6621
0.2257 0.9529 0.6621
0.2330 0.2500 0.4025
0.2581 0.2500 0.9054
0.2866 0.5468 0.1634
0.2866 0.9532 0.1634
0.2938 0.7500 0.9556
0.7062 0.2500 0.0444
0.7134 0.0468 0.8366
0.7134 0.4532 0.8366
0.7419 0.7500 0.0946
0.7670 0.7500 0.5975
0.7743 0.0471 0.3379
0.7743 0.4529 0.3379
0.7905 0.2500 0.5451
```

Largest 8 diffraction maxima, most intense first, 2θ = 10–90°:
25.21 deg, I 100, hkl 1 1 -1
29.32 deg, I 92, hkl 0 2 0
20.48 deg, I 71, hkl 1 0 1
35.06 deg, I 68, hkl 1 1 -3
35.14 deg, I 63, hkl 1 1 3
51.76 deg, I 53, hkl 2 2 -2
36.04 deg, I 36, hkl 1 2 1
16.91 deg, I 34, hkl 0 0 2